Record 1
For La4Ni2Hg, DFT lattice parameters and positions (PBE) gives the theoretical PXRD pattern in this record (Cu Kα).
Intensities are scaled so that the largest is 100.

Top 8 peaks for 2θ = 15–90°, in order of rising 2θ:
2θ (°)	intensity
28.1	64
31.0	100
31.9	66
32.1	88
33.5	28
34.8	56
39.4	33
58.0	26

Cell and atoms:
```
14
Lattice="0.0000 7.6497 4.3940 5.7110 0.0000 4.3940 5.7110 7.6497 0.0000" Properties=species:S:1:pos:R:3 pbc="T T T"
La 6.1862 1.7215 4.3940
La 3.3307 2.1033 2.1970
La 7.3122 6.7017 2.9634
La 2.3804 5.5464 2.1970
La 4.4567 4.7730 5.1604
La 4.1098 8.5978 2.9634
La 6.9653 10.5265 5.1604
La 5.2359 13.5780 4.3940
Ni 5.1242 4.5187 2.5068
Ni 9.1534 8.3436 4.7038
Ni 6.2978 10.7808 2.5068
Ni 2.2687 6.9559 4.7038
Hg 5.7110 7.6497 5.8365
Hg 8.5665 11.4746 8.0335
```

***

Record 2
For La3HgO, DFT lattice parameters and positions (PBE) gives the theoretical PXRD pattern in this record (Cu Kα).
Intensities are scaled so that the largest is 100.

Top 8 peaks for 2θ = 15–90°, in order of rising 2θ:
2θ (°)	intensity
19.5	14
28.7	100
29.5	39
30.6	52
31.0	61
32.0	56
44.4	19
57.5	15

Cell and atoms:
```
10
Lattice="5.5963 0.0000 0.0000 -0.0842 6.9927 0.0000 -0.0647 -1.9053 7.6407" Properties=species:S:1:pos:R:3 pbc="T T T"
La 1.1608 0.4633 3.3438
La 1.3030 3.9645 1.5114
La 1.4303 -1.1199 6.7907
La 4.0171 6.2073 0.8499
La 4.1444 1.1230 6.1292
La 4.2866 4.6242 4.2969
Hg 1.3688 2.8440 5.9174
Hg 4.0785 2.2435 1.7233
O -0.0818 5.5681 2.5070
O 5.5292 -0.4807 5.1337
```

***

Record 3
For La3HgO, DFT lattice parameters and positions (PBE) gives the theoretical PXRD pattern in this record (Cu Kα).
Intensities are scaled so that the largest is 100.

Top 8 peaks for 2θ = 15–90°, in order of rising 2θ:
2θ (°)	intensity
15.9	27
20.8	52
26.9	100
29.2	21
33.7	68
42.8	43
42.9	28
65.5	24

Cell and atoms:
```
10
Lattice="3.6613 2.1139 7.7250 -3.6613 2.1139 7.7250 0.0000 -4.2278 7.7250" Properties=species:S:1:pos:R:3 pbc="T T T"
La -2.5358 -0.1644 9.6562
La -1.1255 -2.2783 13.5187
La 1.4103 -2.1139 9.6562
La -1.4103 2.1139 13.5187
La 1.1255 2.2783 9.6562
La 2.5358 0.1644 13.5187
Hg 0.0000 0.0000 0.0000
Hg 0.0000 0.0000 11.5875
O 0.0000 0.0000 5.7937
O 0.0000 0.0000 17.3812
```